The following is a theoretical powder XRD pattern of BeIr2Se. It was derived from the PBE geometry in Alexandria, using λ = 1.5418 Å (Cu Kα).

Structural model:
```
BeIr2Se
1.0
3.9842 -1.4766 0.0000
3.9842 1.4766 0.0000
-1.3104 0.0000 5.0241
Be Ir Se
1 2 1
Cartesian
0.0000 0.0000 0.0000 Be
3.4083 0.0000 1.6532 Ir
4.4026 0.0000 4.8247 Ir
1.0562 0.0000 2.8824 Se
```

Largest 10 diffraction maxima, in order of falling intensity, 2θ = 15–90°:
38.6°, rel. 100; 46.9°, rel. 76; 25.3°, rel. 70; 32.7°, rel. 52; 32.5°, rel. 49; 46.7°, rel. 48; 37.5°, rel. 44; 47.1°, rel. 33; 35.7°, rel. 27; 66.3°, rel. 22



The following is a theoretical powder XRD pattern of Dy4Ho6Tm19. It was derived from the PBE geometry in Alexandria, using λ = 1.5418 Å (Cu Kα).

Structural model:
```
Dy4Ho6Tm19
1.0
-6.1436 6.1436 6.1436
6.1436 -6.1436 6.1436
6.1436 6.1436 -6.1436
Dy Ho Tm
4 6 19
Cartesian
2.1936 2.1936 -2.1936 Dy
2.1936 -2.1936 2.1936 Dy
-2.1936 2.1936 2.1936 Dy
3.9500 3.9500 3.9500 Dy
6.1436 1.5853 0.0000 Ho
6.1436 0.0000 4.5583 Ho
4.5583 6.1436 0.0000 Ho
1.5853 0.0000 6.1436 Ho
0.0000 6.1436 1.5853 Ho
0.0000 4.5583 6.1436 Ho
0.0000 0.0000 0.0000 Tm
3.2207 0.0000 0.0000 Tm
9.0664 0.0000 0.0000 Tm
5.3583 2.9333 -2.7576 Tm
8.9011 -0.7852 3.2102 Tm
2.9333 -2.7576 5.3583 Tm
0.0000 3.2207 0.0000 Tm
0.0000 0.0000 3.2207 Tm
3.3860 0.7852 3.2102 Tm
3.2102 3.3860 0.7852 Tm
6.9288 2.9333 2.7576 Tm
0.7852 3.2102 3.3860 Tm
3.2102 8.9011 -0.7852 Tm
-2.7576 5.3583 2.9333 Tm
0.0000 9.0664 0.0000 Tm
0.0000 0.0000 9.0664 Tm
2.9333 2.7576 6.9288 Tm
2.7576 6.9288 2.9333 Tm
-0.7852 3.2102 8.9011 Tm
```

Largest 10 diffraction maxima, in order of falling intensity, 2θ = 15–90°:
30.9°, rel. 100; 37.3°, rel. 74; 29.1°, rel. 61; 27.2°, rel. 49; 35.8°, rel. 47; 61.3°, rel. 29; 54.9°, rel. 25; 62.3°, rel. 20; 42.9°, rel. 20; 52.7°, rel. 18



The following is a theoretical powder XRD pattern of Np2CrAs4Rh3. It was derived from the PBE geometry in Alexandria, using λ = 1.5418 Å (Cu Kα).

Structural model:
```
Np2CrAs4Rh3
1.0
4.2140 0.0000 0.0000
0.0000 4.2140 0.0000
0.0000 0.0000 10.2051
Np Cr As Rh
2 1 4 3
Cartesian
0.0000 2.1070 2.4882 Np
2.1070 0.0000 7.7169 Np
0.0000 0.0000 5.1025 Cr
0.0000 0.0000 0.0000 As
0.0000 2.1070 6.4937 As
2.1070 0.0000 3.7113 As
2.1070 2.1070 0.0000 As
0.0000 2.1070 8.9292 Rh
2.1070 0.0000 1.2758 Rh
2.1070 2.1070 5.1025 Rh
```

Largest 10 diffraction maxima, in order of falling intensity, 2θ = 15–90°:
34.9°, rel. 100; 33.9°, rel. 82; 42.9°, rel. 58; 55.8°, rel. 40; 49.6°, rel. 33; 30.0°, rel. 31; 67.7°, rel. 26; 73.4°, rel. 23; 62.3°, rel. 19; 22.8°, rel. 17



The following is a theoretical powder XRD pattern of In4Cu. It was derived from the PBE geometry in Alexandria, using λ = 1.5418 Å (Cu Kα).

Structural model:
```
In4Cu
1.0
5.1404 0.0000 0.0000
0.0000 5.1404 0.0000
0.0000 0.0000 5.1404
In Cu
4 1
Cartesian
0.0000 0.0000 0.0000 In
0.0000 2.5702 2.5702 In
2.5702 0.0000 2.5702 In
2.5702 2.5702 0.0000 In
2.5702 2.5702 2.5702 Cu
```

Largest 10 diffraction maxima, in order of falling intensity, 2θ = 15–90°:
30.1°, rel. 100; 34.9°, rel. 92; 50.2°, rel. 64; 59.7°, rel. 41; 84.2°, rel. 27; 62.6°, rel. 21; 81.6°, rel. 17; 73.7°, rel. 10; 17.3°, rel. 9; 24.5°, rel. 8



The following is a theoretical powder XRD pattern of Na5Sn2. It was derived from the PBE geometry in Alexandria, using λ = 1.5418 Å (Cu Kα).

Structural model:
```
Na5Sn2
1.0
2.7032 1.5607 8.1304
-2.7032 1.5607 8.1304
0.0000 -3.1214 8.1304
Na Sn
5 2
Cartesian
0.0000 0.0000 0.0000 Na
0.0000 0.0000 6.7562 Na
0.0000 0.0000 10.5545 Na
0.0000 0.0000 13.8368 Na
0.0000 0.0000 17.6351 Na
0.0000 0.0000 3.4820 Sn
0.0000 0.0000 20.9093 Sn
```

Largest 10 diffraction maxima, in order of falling intensity, 2θ = 15–90°:
32.0°, rel. 100; 33.1°, rel. 94; 35.0°, rel. 41; 24.0°, rel. 41; 19.3°, rel. 39; 58.5°, rel. 35; 46.7°, rel. 35; 56.3°, rel. 18; 59.2°, rel. 17; 41.8°, rel. 17



The following is a theoretical powder XRD pattern of La3CdIn3. It was derived from the PBE geometry in Alexandria, using λ = 1.5418 Å (Cu Kα).

Structural model:
```
La3CdIn3
1.0
5.8859 -2.4724 0.0000
5.8859 2.4724 0.0000
-4.9501 0.0000 14.8800
La Cd In
6 2 6
Cartesian
-1.3762 0.0000 5.7383 La
-3.4391 0.0000 13.6397 La
1.7354 0.0000 3.2441 La
5.0862 0.0000 11.6359 La
10.2607 0.0000 1.2403 La
8.1978 0.0000 9.1417 La
-0.0401 0.0000 9.0589 Cd
6.8617 0.0000 5.8211 Cd
2.1277 0.0000 6.7264 In
-0.0855 0.0000 13.8207 In
1.7132 0.0000 11.3893 In
5.1084 0.0000 3.4907 In
6.9071 0.0000 1.0594 In
4.6939 0.0000 8.1536 In
```

Largest 10 diffraction maxima, in order of falling intensity, 2θ = 15–90°:
29.1°, rel. 100; 35.2°, rel. 85; 36.3°, rel. 53; 28.4°, rel. 38; 30.4°, rel. 36; 33.5°, rel. 28; 48.1°, rel. 20; 36.2°, rel. 20; 29.4°, rel. 19; 61.0°, rel. 17